[1]
Structure and theoretical powder X-ray diffraction pattern of Ca2BiWO6 (a cell relaxed with PBE+U; λ = 1.5418 Å (Cu Kα)).
Kinematic intensities with the Lorentz-polarization factor, no thermal factor.

The 12 most intense peaks (10° ≤ 2θ ≤ 80°), by angle:
two_theta, I (rel.)
20.72, 39.5
21.64, 63.4
30.14, 100.0
30.79, 60.6
37.41, 18.9
42.15, 18.1
44.11, 26.1
47.87, 16.4
49.64, 19.1
53.10, 25.9
54.35, 47.9
62.65, 17.8

Cell and atoms:
Cell: 5.8071 5.8071 8.5748 Å, 90.00 90.00 90.00°
Space group P4/mnc (No. 128)
Inequivalent atoms, fractional coordinates:
Ca 0.0000 0.5000 0.2500 (multiplicity 4)
Bi 0.0000 0.0000 0.0000 (multiplicity 2)
W 0.0000 0.0000 0.5000 (multiplicity 2)
O 0.0000 0.0000 0.2652 (multiplicity 4)
O 0.1404 0.3145 0.5000 (multiplicity 8)

=====

[2]
Structure and theoretical powder X-ray diffraction pattern of CaBiWO5 (a cell relaxed with PBE+U; λ = 1.5418 Å (Cu Kα)).
Kinematic intensities with the Lorentz-polarization factor, no thermal factor.

The 12 most intense peaks (10° ≤ 2θ ≤ 80°), by angle:
two_theta, I (rel.)
16.28, 62.4
17.86, 22.9
22.70, 25.9
23.11, 91.4
26.93, 100.0
29.51, 33.7
31.25, 35.7
31.62, 34.7
33.26, 32.8
39.51, 21.0
41.18, 20.0
44.64, 21.5

Cell and atoms:
Cell: 5.8219 12.1096 8.8520 Å, 90.00 110.69 90.00°
Space group P2_1/c (No. 14)
Inequivalent atoms, fractional coordinates:
Ca 0.0644 0.0851 0.1844 (multiplicity 4)
Bi 0.4655 0.1018 0.8571 (multiplicity 4)
W 0.3096 0.6393 0.0221 (multiplicity 4)
O 0.1935 0.5673 0.1627 (multiplicity 4)
O 0.2117 0.7069 0.4892 (multiplicity 4)
O 0.2726 0.0295 0.0123 (multiplicity 4)
O 0.2843 0.5716 0.8283 (multiplicity 4)
O 0.3675 0.1949 0.3645 (multiplicity 4)

=====

[3]
Structure and theoretical powder X-ray diffraction pattern of Ca2BiWO6 (a cell relaxed with PBE+U; λ = 1.5418 Å (Cu Kα)).
Kinematic intensities with the Lorentz-polarization factor, no thermal factor.

The 12 most intense peaks (10° ≤ 2θ ≤ 80°), by angle:
two_theta, I (rel.)
20.87, 68.6
29.68, 100.0
34.95, 0.6
36.56, 8.6
42.47, 31.1
47.77, 31.9
52.66, 41.0
61.62, 19.4
65.81, 15.6
69.87, 18.5
73.82, 5.1
77.70, 6.4

Cell and atoms:
Cell: 8.5148 8.5148 8.5148 Å, 90.00 90.00 90.00°
Space group Fm-3m (No. 225)
Inequivalent atoms, fractional coordinates:
Ca 0.2500 0.2500 0.2500 (multiplicity 8)
Bi 0.0000 0.0000 0.0000 (multiplicity 4)
W 0.0000 0.0000 0.5000 (multiplicity 4)
O 0.0000 0.0000 0.2676 (multiplicity 24)

=====

[4]
Structure and theoretical powder X-ray diffraction pattern of Ca2BiWO6 (a cell relaxed with PBE+U; λ = 1.5418 Å (Cu Kα)).
Kinematic intensities with the Lorentz-polarization factor, no thermal factor.

The 12 most intense peaks (10° ≤ 2θ ≤ 80°), by angle:
two_theta, I (rel.)
16.89, 29.2
20.86, 100.0
28.73, 70.1
30.59, 87.0
33.51, 36.8
35.14, 26.8
37.32, 21.8
42.46, 25.7
48.99, 20.4
53.23, 27.0
54.37, 25.9
61.80, 26.5

Cell and atoms:
Cell: 5.8457 5.8457 15.7467 Å, 90.00 90.00 120.00°
Space group R3 (No. 146, hexagonal axes)
Inequivalent atoms, fractional coordinates:
Ca 0.0000 0.0000 0.0000 (multiplicity 3)
Ca 0.0000 0.0000 0.4779 (multiplicity 3)
Bi 0.0000 0.0000 0.2367 (multiplicity 3)
W 0.0000 0.0000 0.7945 (multiplicity 3)
O 0.0023 0.2894 0.7392 (multiplicity 9)
O 0.0786 0.6878 0.5473 (multiplicity 9)

=====

[5]
Structure and theoretical powder X-ray diffraction pattern of Ca2BiWO6 (a cell relaxed with PBE+U; λ = 1.5418 Å (Cu Kα)).
Kinematic intensities with the Lorentz-polarization factor, no thermal factor.

The 12 most intense peaks (10° ≤ 2θ ≤ 80°), by angle:
two_theta, I (rel.)
21.42, 48.7
21.62, 100.0
29.98, 40.1
30.50, 81.4
30.75, 80.5
31.54, 34.6
37.15, 18.6
43.64, 19.3
44.07, 35.7
49.36, 23.3
53.86, 19.3
55.81, 19.5

Cell and atoms:
Cell: 5.6742 5.9601 10.0005 Å, 90.00 123.95 90.00°
Space group P2_1/c (No. 14)
Inequivalent atoms, fractional coordinates:
Ca 0.2393 0.0564 0.2520 (multiplicity 4)
Bi 0.5000 0.0000 0.0000 (multiplicity 2)
W 0.0000 0.0000 0.5000 (multiplicity 2)
O 0.0913 0.2123 0.9247 (multiplicity 4)
O 0.2274 0.6700 0.9429 (multiplicity 4)
O 0.3525 0.0645 0.7277 (multiplicity 4)

=====

[6]
Structure and theoretical powder X-ray diffraction pattern of VCd2BiO6 (a cell relaxed with PBE+U; λ = 1.5418 Å (Cu Kα)).
Kinematic intensities with the Lorentz-polarization factor, no thermal factor.

The 12 most intense peaks (10° ≤ 2θ ≤ 80°), by angle:
two_theta, I (rel.)
12.56, 11.1
19.95, 12.3
29.75, 100.0
31.01, 9.0
31.16, 27.0
40.43, 8.6
44.59, 23.4
50.09, 8.9
52.01, 6.4
54.58, 23.7
59.46, 8.4
60.18, 7.0

Cell and atoms:
Cell: 8.8982 11.5350 5.7393 Å, 90.00 90.00 90.00°
Space group Cmc2_1 (No. 36)
Inequivalent atoms, fractional coordinates:
V 0.0000 0.1644 0.0000 (multiplicity 4)
Cd 0.2062 0.1138 0.4983 (multiplicity 8)
Bi 0.0000 0.4051 0.5042 (multiplicity 4)
O 0.0000 0.0152 0.0039 (multiplicity 4)
O 0.0000 0.2064 0.2969 (multiplicity 4)
O 0.1545 0.4979 0.2528 (multiplicity 8)
O 0.1586 0.2203 0.8568 (multiplicity 8)

=====

[7]
Structure and theoretical powder X-ray diffraction pattern of Bi3PbWClO8 (a cell relaxed with PBE+U; λ = 1.5418 Å (Cu Kα)).
Kinematic intensities with the Lorentz-polarization factor, no thermal factor.

The 12 most intense peaks (10° ≤ 2θ ≤ 80°), by angle:
two_theta, I (rel.)
25.81, 25.1
29.13, 100.0
29.96, 12.6
32.52, 44.0
33.27, 9.6
44.79, 20.8
46.65, 23.3
49.39, 10.6
54.58, 18.7
55.94, 33.5
56.43, 9.2
74.57, 15.2

Cell and atoms:
Cell: 3.8943 3.8943 14.9143 Å, 90.00 90.00 90.00°
Space group P4mm (No. 99)
Inequivalent atoms, fractional coordinates:
Bi 0.0000 0.0000 0.0000 (multiplicity 1)
Bi 0.0000 0.0000 0.2726 (multiplicity 1)
Bi 0.5000 0.5000 0.8286 (multiplicity 1)
Pb 0.5000 0.5000 0.4449 (multiplicity 1)
W 0.0000 0.0000 0.6434 (multiplicity 1)
Cl 0.5000 0.5000 0.1241 (multiplicity 1)
O 0.0000 0.0000 0.5193 (multiplicity 1)
O 0.0000 0.0000 0.7787 (multiplicity 1)
O 0.0000 0.5000 0.3445 (multiplicity 2)
O 0.0000 0.5000 0.6505 (multiplicity 2)
O 0.0000 0.5000 0.9224 (multiplicity 2)